For Ho4TmPd2, a DFT-relaxed cell (GGA-PBE, Alexandria) gives the calculated powder diffraction line list in this record (copper Kα).

Crystal structure
```
data_Ho4TmPd2
_chemical_formula_sum 'Ho16 Tm4 Pd8'
_cell_length_a 9.0216
_cell_length_b 12.8708
_cell_length_c 6.3449
_cell_angle_alpha 90.00
_cell_angle_beta 90.00
_cell_angle_gamma 90.00
_symmetry_space_group_name_H-M 'C m c m'
_symmetry_Int_Tables_number 63
_symmetry_space_group_name_Hall '-C 2c 2'
loop_
_atom_site_label
_atom_site_type_symbol
_atom_site_fract_x
_atom_site_fract_y
_atom_site_fract_z
Ho1 Ho 0.1856 0.2391 0.2500
Ho2 Ho 0.2011 0.5000 0.0000
Tm1 Tm 0.0000 0.1422 0.7500
Pd1 Pd 0.0000 0.0676 0.2500
Pd2 Pd 0.0000 0.3610 0.7500
```

The 10 most intense peaks (10° ≤ 2θ ≤ 90°), by intensity:
Position (°2θ), Rel. int.
34.2, 100.0
31.4, 88.6
33.7, 83.0
37.4, 71.4
39.1, 56.5
57.3, 36.2
30.5, 33.4
34.6, 31.5
30.7, 27.7
55.6, 26.0



For Mg2Ga8Co, a DFT-relaxed cell (GGA-PBE, Alexandria) gives the calculated powder diffraction line list in this record (copper Kα).

Crystal structure
```
data_Mg2Ga8Co
_chemical_formula_sum 'Mg2 Ga8 Co1'
_cell_length_a 4.1396
_cell_length_b 4.1396
_cell_length_c 11.1999
_cell_angle_alpha 90.00
_cell_angle_beta 90.00
_cell_angle_gamma 90.00
_symmetry_space_group_name_H-M 'P 4/m m m'
_symmetry_Int_Tables_number 123
_symmetry_space_group_name_Hall '-P 4 2'
loop_
_atom_site_label
_atom_site_type_symbol
_atom_site_fract_x
_atom_site_fract_y
_atom_site_fract_z
Mg1 Mg 0.0000 0.0000 0.1930
Ga1 Ga 0.0000 0.5000 0.0000
Ga2 Ga 0.0000 0.5000 0.3808
Ga3 Ga 0.5000 0.5000 0.1977
Co1 Co 0.0000 0.0000 0.5000
```

The 10 most intense peaks (10° ≤ 2θ ≤ 90°), by intensity:
Position (°2θ), Rel. int.
39.1, 100.0
43.7, 56.6
34.6, 30.7
77.2, 25.1
60.9, 22.9
40.3, 20.1
63.6, 17.8
26.8, 17.1
44.8, 13.4
75.2, 13.0



For Sr2LaNpS6, a DFT-relaxed cell (GGA-PBE, Alexandria) gives the calculated powder diffraction line list in this record (copper Kα).

Crystal structure
```
data_Sr2LaNpS6
_chemical_formula_sum 'Sr4 La2 Np2 S12'
_cell_length_a 7.0446
_cell_length_b 7.5507
_cell_length_c 12.4137
_cell_angle_alpha 90.00
_cell_angle_beta 124.06
_cell_angle_gamma 90.00
_symmetry_space_group_name_H-M 'P 1 21/c 1'
_symmetry_Int_Tables_number 14
loop_
_symmetry_equiv_pos_as_xyz
'x,y,z'
'-x,-y,-z'
'-x,y+1/2,-z+1/2'
'x,-y+1/2,z+1/2'
loop_
_atom_site_label
_atom_site_type_symbol
_atom_site_fract_x
_atom_site_fract_y
_atom_site_fract_z
Sr1 Sr 0.2217 0.0795 0.2499
La1 La 0.5000 0.0000 0.0000
Np1 Np 0.0000 0.0000 0.5000
S1 S 0.1089 0.2072 0.9308
S2 S 0.2331 0.6848 0.9369
S3 S 0.3608 0.0460 0.7370
```

The 10 most intense peaks (10° ≤ 2θ ≤ 90°), by intensity:
Position (°2θ), Rel. int.
24.4, 100.0
24.5, 99.7
17.2, 88.3
34.9, 86.6
23.6, 43.7
25.3, 40.3
39.0, 37.0
44.2, 33.9
43.9, 30.2
42.5, 29.9



For LiLa2NiH6, a DFT-relaxed cell (GGA-PBE, Alexandria) gives the calculated powder diffraction line list in this record (copper Kα).

Crystal structure
```
data_LiLa2NiH6
_chemical_formula_sum 'Li1 La2 Ni1 H6'
_cell_length_a 5.1251
_cell_length_b 5.1251
_cell_length_c 4.6965
_cell_angle_alpha 90.00
_cell_angle_beta 90.00
_cell_angle_gamma 120.00
_symmetry_space_group_name_H-M 'P -3 m 1'
_symmetry_Int_Tables_number 164
_symmetry_space_group_name_Hall '-P 3 2"'
loop_
_atom_site_label
_atom_site_type_symbol
_atom_site_fract_x
_atom_site_fract_y
_atom_site_fract_z
Li1 Li 0.0000 0.0000 0.0000
La1 La 0.3333 0.6667 0.2587
Ni1 Ni 0.0000 0.0000 0.5000
H1 H 0.1598 0.3195 0.7241
```

The 10 most intense peaks (10° ≤ 2θ ≤ 90°), by intensity:
Position (°2θ), Rel. int.
27.7, 100.0
35.0, 54.3
45.2, 27.9
58.4, 24.4
43.6, 21.4
52.9, 11.6
68.8, 10.7
63.0, 10.2
57.1, 9.8
62.8, 9.8



For LaTbHo2Tl2, a DFT-relaxed cell (GGA-PBE, Alexandria) gives the calculated powder diffraction line list in this record (copper Kα).

Crystal structure
```
data_LaTbHo2Tl2
_chemical_formula_sum 'La2 Tb2 Ho4 Tl4'
_cell_length_a 5.1731
_cell_length_b 10.1576
_cell_length_c 6.8205
_cell_angle_alpha 90.00
_cell_angle_beta 90.00
_cell_angle_gamma 90.00
_symmetry_space_group_name_H-M 'P m c 21'
_symmetry_Int_Tables_number 26
loop_
_symmetry_equiv_pos_as_xyz
'x,y,z'
'-x,-y,z+1/2'
'-x,y,z'
'x,-y,z+1/2'
loop_
_atom_site_label
_atom_site_type_symbol
_atom_site_fract_x
_atom_site_fract_y
_atom_site_fract_z
La1 La 0.0000 0.0428 0.0000
Tb1 Tb 0.5000 0.1956 0.7279
Ho1 Ho 0.0000 0.3197 0.3815
Ho2 Ho 0.5000 0.4563 0.0976
Tl1 Tl 0.0000 0.3702 0.8444
Tl2 Tl 0.5000 0.1432 0.2663
```

The 10 most intense peaks (10° ≤ 2θ ≤ 90°), by intensity:
Position (°2θ), Rel. int.
31.6, 100.0
32.7, 62.4
34.7, 48.1
31.4, 46.6
34.3, 27.9
60.2, 20.6
37.4, 19.9
51.9, 15.7
29.5, 14.3
41.4, 12.0



For VPb3Se, a DFT-relaxed cell (GGA-PBE, Alexandria) gives the calculated powder diffraction line list in this record (copper Kα).

Crystal structure
```
data_VPb3Se
_chemical_formula_sum 'V1 Pb3 Se1'
_cell_length_a 5.3173
_cell_length_b 5.3173
_cell_length_c 5.3173
_cell_angle_alpha 90.00
_cell_angle_beta 90.00
_cell_angle_gamma 90.00
_symmetry_space_group_name_H-M 'P m -3 m'
_symmetry_Int_Tables_number 221
_symmetry_space_group_name_Hall '-P 4 2 3'
loop_
_atom_site_label
_atom_site_type_symbol
_atom_site_fract_x
_atom_site_fract_y
_atom_site_fract_z
V1 V 0.0000 0.0000 0.0000
Pb1 Pb 0.0000 0.0000 0.5000
Se1 Se 0.5000 0.5000 0.5000
```

The 10 most intense peaks (10° ≤ 2θ ≤ 90°), by intensity:
Position (°2θ), Rel. int.
29.1, 100.0
33.7, 69.0
48.4, 50.5
57.5, 46.5
80.8, 23.5
16.7, 20.7
78.4, 19.7
60.3, 17.6
37.8, 11.3
70.9, 8.2



For Pm6In3Si, a DFT-relaxed cell (GGA-PBE, Alexandria) gives the calculated powder diffraction line list in this record (copper Kα).

Crystal structure
```
data_Pm6In3Si
_chemical_formula_sum 'Pm24 In12 Si4'
_cell_length_a 11.2847
_cell_length_b 11.2847
_cell_length_c 11.2847
_cell_angle_alpha 90.00
_cell_angle_beta 90.00
_cell_angle_gamma 90.00
_symmetry_space_group_name_H-M 'F m -3 m'
_symmetry_Int_Tables_number 225
_symmetry_space_group_name_Hall '-F 4 2 3'
loop_
_atom_site_label
_atom_site_type_symbol
_atom_site_fract_x
_atom_site_fract_y
_atom_site_fract_z
Pm1 Pm 0.0000 0.0000 0.2420
In1 In 0.0000 0.0000 0.5000
In2 In 0.2500 0.2500 0.2500
Si1 Si 0.0000 0.0000 0.0000
```

The 10 most intense peaks (10° ≤ 2θ ≤ 90°), by intensity:
Position (°2θ), Rel. int.
27.4, 100.0
31.7, 86.9
45.5, 63.1
53.9, 44.8
75.3, 27.2
56.5, 21.8
84.0, 20.5
73.1, 17.5
15.7, 13.3
66.3, 10.0



For Sr3Sc2N4, a DFT-relaxed cell (GGA-PBE, Alexandria) gives the calculated powder diffraction line list in this record (copper Kα).

Crystal structure
```
data_Sr3Sc2N4
_chemical_formula_sum 'Sr12 Sc8 N16'
_cell_length_a 11.1558
_cell_length_b 9.5725
_cell_length_c 6.1890
_cell_angle_alpha 90.00
_cell_angle_beta 93.01
_cell_angle_gamma 90.00
_symmetry_space_group_name_H-M 'C 1 2/c 1'
_symmetry_Int_Tables_number 15
loop_
_symmetry_equiv_pos_as_xyz
'x,y,z'
'-x,-y,-z'
'-x,y,-z+1/2'
'x,-y,z+1/2'
'x+1/2,y+1/2,z'
'-x+1/2,-y+1/2,-z'
'-x+1/2,y+1/2,-z+1/2'
'x+1/2,-y+1/2,z+1/2'
loop_
_atom_site_label
_atom_site_type_symbol
_atom_site_fract_x
_atom_site_fract_y
_atom_site_fract_z
Sr1 Sr 0.0000 0.0959 0.2500
Sr2 Sr 0.1126 0.3406 0.5677
Sc1 Sc 0.2167 0.1128 0.9117
N1 N 0.1155 0.2939 0.0051
N2 N 0.1743 0.0734 0.5784
```

The 10 most intense peaks (10° ≤ 2θ ≤ 90°), by intensity:
Position (°2θ), Rel. int.
28.9, 100.0
31.1, 23.4
41.2, 16.4
37.6, 15.2
41.6, 14.7
39.5, 12.9
45.0, 12.6
33.9, 12.2
29.1, 9.9
23.5, 9.2